Record 1
The following is a computed powder XRD pattern of LiTiH6O2F6. It was derived from a cell relaxed with PBE, using Cu Ka.
Intensities are scaled so that the largest is 100.

Main lines, by angle (2θ = 5–70°):
15.7°, I = 19, (0 0 1); 17.1°, I = 100, (1 1 0); 17.5°, I = 53, (2 0 0); 23.2°, I = 58, (1 1 -1); 23.7°, I = 29, (2 0 1); 29.6°, I = 20, (0 2 0); 30.3°, I = 40, (3 1 0); 31.7°, I = 20, (0 0 2); 38.3°, I = 29, (2 2 1); 43.9°, I = 17, (0 2 2); 47.5°, I = 16, (2 2 -2); 57.7°, I = 15, (5 1 -2)

Structural model:
Lattice parameters (Å, degrees): 10.1351 6.0378 5.6472 90.00 90.67 90.00
Space group C2 (No. 5)
One atom of each set of equivalent atoms:
Li  0.0000  0.0000  0.0000 [2 per cell]
Ti  0.0000  0.9723  0.5000 [2 per cell]
H  0.0846  0.5714  0.2295 [4 per cell]
H  0.1565  0.3128  0.2253 [4 per cell]
H  0.2464  0.0485  0.7735 [4 per cell]
O  0.1643  0.4777  0.1820 [4 per cell]
F  0.0241  0.7256  0.7254 [4 per cell]
F  0.1137  0.1358  0.7347 [4 per cell]
F  0.1329  0.0759  0.2615 [4 per cell]

---

Record 2
The following is a computed powder XRD pattern of SiAg3. It was derived from a cell relaxed with PBE, using Cu Ka.
Intensities are scaled so that the largest is 100.

Main lines, by angle (2θ = 5–70°):
17.3°, I = 4, (1 0 0); 26.1°, I = 20, (1 0 1); 30.2°, I = 8, (1 1 0); 35.0°, I = 25, (2 0 0); 39.4°, I = 24, (0 0 2); 40.3°, I = 100, (2 0 1); 46.9°, I = 2, (2 1 0); 50.5°, I = 4, (1 1 2); 51.2°, I = 4, (2 1 1); 53.7°, I = 14, (2 0 2); 62.7°, I = 17, (2 2 0); 69.2°, I = 2, (3 1 1)

Structural model:
Lattice parameters (Å, degrees): 5.9234 5.9234 4.5691 90.00 90.00 120.00
Space group P6_3/mmc (No. 194)
One atom of each set of equivalent atoms:
Si  0.3333  0.6667  0.2500 [2 per cell]
Ag  0.1708  0.3416  0.7500 [6 per cell]